Theoretical powder diffractogram
Compound: CaLa3Tc
Radiation: Cu Kα (weighted mean of Kα1 and Kα2)
Structure: a DFT-relaxed cell (GGA-PBE, Alexandria)

Structure:
```
CaLa3Tc
1.0
5.6113 0.0000 0.0000
0.0000 10.4706 0.0000
-0.0016 0.0000 5.9610
Ca La Tc
2 6 2
Direct
0.2466 0.2500 0.2514
0.7534 0.7500 0.7486
0.2262 0.7500 0.2501
0.2712 0.5033 0.7507
0.2712 0.9967 0.7507
0.7288 0.0033 0.2493
0.7288 0.4967 0.2493
0.7738 0.2500 0.7499
0.3330 0.2500 0.7518
0.6670 0.7500 0.2482
```

Most intense lines, 10° ≤ 2θ ≤ 90°, sorted by position:
2θ 17.12, rel. 44, (0 1 1); 2θ 21.75, rel. 23, (1 0 -1); 2θ 27.70, rel. 100, (1 2 1); 2θ 29.98, rel. 48, (0 0 2); 2θ 31.90, rel. 32, (2 0 0); 2θ 34.26, rel. 33, (0 4 0); 2θ 44.34, rel. 25, (2 0 -2); 2θ 46.15, rel. 29, (0 4 2); 2θ 47.50, rel. 20, (2 4 0); 2θ 57.20, rel. 23, (2 4 -2)